# 1
Tl2Ni4Ag: theoretical powder diffractogram (a wavelength of 1.5418 Å), based on a PBE-relaxed structure.
Lines closer than 0.1° are merged.

Peak list (10 most intense, 2θ from 15° to 90°, in order of rising 2θ)
(1 0 1), 20.32°, 4.370 Å, I = 20
(1 1 0), 27.25°, 3.273 Å, I = 100
(1 0 3), 27.93°, 3.195 Å, I = 52
(1 1 4), 38.68°, 2.328 Å, I = 55
(2 0 0), 38.91°, 2.314 Å, I = 89
(1 0 5), 39.18°, 2.299 Å, I = 77
(2 1 3), 48.58°, 1.874 Å, I = 24
(2 2 0), 56.21°, 1.636 Å, I = 30
(2 1 5), 56.41°, 1.631 Å, I = 52
(3 1 4), 70.32°, 1.339 Å, I = 19

Structural model:
```
data_Tl2Ni4Ag
_symmetry_space_group_name_H-M 'I 4/m m m'
_symmetry_Int_Tables_number 139
_symmetry_space_group_name_Hall '-I 4 2'
_cell_length_a 4.629
_cell_length_b 4.629
_cell_length_c 13.244
_cell_angle_alpha 90.00
_cell_angle_beta 90.00
_cell_angle_gamma 90.00
loop_
_atom_site_label
_atom_site_fract_x
_atom_site_fract_y
_atom_site_fract_z
_atom_site_occupancy
Tl1 0.000 0.000 0.125 1
Ni1 0.000 0.000 0.315 1
Ni2 0.000 0.500 0.000 1
Ag1 0.000 0.000 0.500 1
```

=====

# 2
La5Pm2Tl4: theoretical powder diffractogram (a wavelength of 1.5418 Å), based on a PBE-relaxed structure.
Lines closer than 0.1° are merged.

Peak list (10 most intense, 2θ from 15° to 90°, in order of rising 2θ)
(3 0 0), 30.02°, 2.977 Å, I = 24
(1 1 -2), 31.16°, 2.870 Å, I = 42
(1 1 2), 32.18°, 2.782 Å, I = 100
(0 0 4), 32.85°, 2.726 Å, I = 20
(3 0 -2), 32.88°, 2.724 Å, I = 18
(2 0 3), 33.23°, 2.696 Å, I = 17
(1 0 -4), 33.44°, 2.680 Å, I = 18
(2 1 -2), 35.34°, 2.540 Å, I = 37
(3 0 2), 35.72°, 2.514 Å, I = 16
(0 2 0), 51.41°, 1.778 Å, I = 15

Structural model:
```
data_La5Pm2Tl4
_symmetry_space_group_name_H-M 'P 1 2/m 1'
_symmetry_Int_Tables_number 10
_cell_length_a 8.969
_cell_length_b 3.555
_cell_length_c 10.955
_cell_angle_alpha 90.00
_cell_angle_beta 95.46
_cell_angle_gamma 90.00
loop_
_symmetry_equiv_pos_as_xyz
'x,y,z'
'-x,-y,-z'
'-x,y,-z'
'x,-y,z'
loop_
_atom_site_label
_atom_site_fract_x
_atom_site_fract_y
_atom_site_fract_z
_atom_site_occupancy
La1 0.000 0.000 0.000 1
La2 0.040 0.000 0.336 1
La3 0.342 0.000 0.860 1
Pm1 0.421 0.000 0.362 1
Tl1 0.256 0.500 0.578 1
Tl2 0.299 0.500 0.124 1
```

=====

# 3
KBeBiF6: theoretical powder diffractogram (a wavelength of 1.5418 Å), based on a PBE-relaxed structure.
Lines closer than 0.1° are merged.

Peak list (10 most intense, 2θ from 15° to 90°, in order of rising 2θ)
(0 0 1), 15.67°, 5.656 Å, I = 27
(1 0 0), 17.65°, 5.025 Å, I = 58
(1 0 1), 23.69°, 3.756 Å, I = 100
(1 1 0), 30.82°, 2.901 Å, I = 20
(2 -1 1), 34.75°, 2.581 Å, I = 23
(0 1 2), 36.46°, 2.464 Å, I = 25
(0 2 1), 39.24°, 2.296 Å, I = 27
(2 -1 2), 44.75°, 2.025 Å, I = 28
(3 -2 1), 50.71°, 1.800 Å, I = 26
(1 2 2), 58.55°, 1.577 Å, I = 13

Structural model:
```
data_KBeBiF6
_symmetry_space_group_name_H-M 'P 3'
_symmetry_Int_Tables_number 143
_cell_length_a 5.8020
_cell_length_b 5.8020
_cell_length_c 5.6560
_cell_angle_alpha 90.00
_cell_angle_beta 90.00
_cell_angle_gamma 120.00
loop_
_symmetry_equiv_pos_as_xyz
'x,y,z'
'-y,x-y,z'
'-x+y,-x,z'
loop_
_atom_site_label
_atom_site_fract_x
_atom_site_fract_y
_atom_site_fract_z
_atom_site_occupancy
K1 0.0000 0.0000 0.0000 1
Be1 0.6667 0.3333 0.3077 1
Bi1 0.3333 0.6667 0.5335 1
F1 0.0284 0.3854 0.7511 1
F2 0.4034 0.3180 0.3005 1
```

=====

# 4
Zr2TiPb3O9: theoretical powder diffractogram (a wavelength of 1.5418 Å), based on a PBE-relaxed structure.
Lines closer than 0.1° are merged.

Peak list (10 most intense, 2θ from 15° to 90°, in order of rising 2θ)
(0 0 1), 20.59°, 4.314 Å, I = 27
(1 3 0), 21.62°, 4.110 Å, I = 36
(1 3 -1), 29.83°, 2.995 Å, I = 100
(1 3 1), 30.23°, 2.956 Å, I = 96
(2 0 0), 30.77°, 2.906 Å, I = 90
(0 6 1), 37.32°, 2.410 Å, I = 20
(0 0 2), 41.88°, 2.157 Å, I = 23
(2 6 0), 44.07°, 2.055 Å, I = 48
(0 6 2), 52.86°, 1.732 Å, I = 20
(3 9 1), 72.75°, 1.300 Å, I = 21

Structural model:
```
data_Zr2TiPb3O9
_symmetry_space_group_name_H-M 'C 1 m 1'
_symmetry_Int_Tables_number 8
_cell_length_a 5.814
_cell_length_b 17.431
_cell_length_c 4.315
_cell_angle_alpha 90.00
_cell_angle_beta 91.08
_cell_angle_gamma 90.00
loop_
_symmetry_equiv_pos_as_xyz
'x,y,z'
'x,-y,z'
'x+1/2,y+1/2,z'
'x+1/2,-y+1/2,z'
loop_
_atom_site_label
_atom_site_fract_x
_atom_site_fract_y
_atom_site_fract_z
_atom_site_occupancy
Zr1 0.000 0.166 0.000 1
Ti1 0.003 0.500 0.017 1
Pb1 0.467 0.158 0.560 1
Pb2 0.479 0.500 0.568 1
O1 0.014 0.500 0.429 1
O2 0.030 0.160 0.467 1
O3 0.251 0.421 0.931 1
O4 0.273 0.079 0.931 1
O5 0.279 0.244 0.939 1
```

=====

# 5
LiEr4Zr4O14: theoretical powder diffractogram (a wavelength of 1.5418 Å), based on a PBE-relaxed structure.
Lines closer than 0.1° are merged.

Peak list (10 most intense, 2θ from 15° to 90°, in order of rising 2θ)
(2 0 1), 24.45°, 3.641 Å, I = 18
(2 0 -2), 27.42°, 3.253 Å, I = 48
(2 0 2), 28.73°, 3.107 Å, I = 50
(0 1 2), 30.26°, 2.954 Å, I = 100
(0 0 4), 33.27°, 2.693 Å, I = 24
(2 1 0), 34.11°, 2.629 Å, I = 36
(2 1 -1), 34.86°, 2.574 Å, I = 15
(2 1 -4), 47.55°, 1.912 Å, I = 24
(2 1 4), 49.20°, 1.852 Å, I = 26
(0 2 0), 51.76°, 1.766 Å, I = 17

Structural model:
```
data_LiEr4Zr4O14
_symmetry_space_group_name_H-M 'P 1 m 1'
_symmetry_Int_Tables_number 6
_cell_length_a 7.881
_cell_length_b 3.532
_cell_length_c 10.785
_cell_angle_alpha 90.00
_cell_angle_beta 92.75
_cell_angle_gamma 90.00
loop_
_symmetry_equiv_pos_as_xyz
'x,y,z'
'x,-y,z'
loop_
_atom_site_label
_atom_site_fract_x
_atom_site_fract_y
_atom_site_fract_z
_atom_site_occupancy
Li1 0.000 0.000 0.000 1
Er1 0.175 0.500 0.440 1
Er2 0.485 0.000 0.693 1
Er3 0.718 0.500 0.963 1
Er4 0.981 0.000 0.717 1
Zr1 0.274 0.500 0.926 1
Zr2 0.396 0.000 0.202 1
Zr3 0.643 0.500 0.440 1
Zr4 0.899 0.000 0.238 1
O1 0.048 0.500 0.615 1
O2 0.166 0.000 0.322 1
O3 0.231 0.000 0.042 1
O4 0.244 0.000 0.801 1
O5 0.413 0.500 0.319 1
O6 0.424 0.500 0.565 1
O7 0.466 0.500 0.083 1
O8 0.501 0.500 0.829 1
O9 0.647 0.000 0.303 1
O10 0.698 0.000 0.555 1
O11 0.763 0.000 0.062 1
O12 0.892 0.500 0.380 1
O13 0.975 0.500 0.152 1
O14 0.990 0.500 0.883 1
```

=====

# 6
Ac2Tb4Sm7: theoretical powder diffractogram (a wavelength of 1.5418 Å), based on a PBE-relaxed structure.
Lines closer than 0.1° are merged.

Peak list (10 most intense, 2θ from 15° to 90°, in order of rising 2θ)
(0 0 4), 26.64°, 3.346 Å, I = 20
(1 1 0), 28.40°, 3.143 Å, I = 17
(2 -1 1), 29.19°, 3.059 Å, I = 28
(1 1 2), 31.44°, 2.846 Å, I = 100
(2 -1 3), 34.92°, 2.569 Å, I = 26
(1 1 6), 50.15°, 1.819 Å, I = 15
(3 0 0), 50.29°, 1.814 Å, I = 23
(3 0 4), 57.81°, 1.595 Å, I = 12
(4 -2 2), 60.52°, 1.530 Å, I = 12
(4 1 2), 82.47°, 1.170 Å, I = 10

Structural model:
```
data_Ac2Tb4Sm7
_symmetry_space_group_name_H-M 'P -3 1 m'
_symmetry_Int_Tables_number 162
_symmetry_space_group_name_Hall '-P 3 2'
_cell_length_a 6.2854
_cell_length_b 6.2854
_cell_length_c 13.3854
_cell_angle_alpha 90.00
_cell_angle_beta 90.00
_cell_angle_gamma 120.00
loop_
_atom_site_label
_atom_site_fract_x
_atom_site_fract_y
_atom_site_fract_z
_atom_site_occupancy
Ac1 0.3333 0.6667 0.0000 1
Tb1 0.0000 0.0000 0.3945 1
Tb2 0.3333 0.6667 0.5000 1
Sm1 0.0000 0.0000 0.0000 1
Sm2 0.0000 0.3660 0.7746 1
```

=====

# 7
MgAgS: theoretical powder diffractogram (a wavelength of 1.5418 Å), based on a PBE-relaxed structure.
Lines closer than 0.1° are merged.

Peak list (10 most intense, 2θ from 15° to 90°, in order of rising 2θ)
(1 1 0), 15.79°, 5.612 Å, I = 100
(1 1 -1), 16.39°, 5.410 Å, I = 32
(2 0 0), 27.07°, 3.294 Å, I = 50
(2 2 -1), 28.73°, 3.108 Å, I = 75
(2 2 -2), 33.12°, 2.705 Å, I = 43
(1 3 1), 35.45°, 2.532 Å, I = 30
(1 3 -2), 36.30°, 2.475 Å, I = 28
(0 4 1), 36.83°, 2.440 Å, I = 67
(1 1 2), 40.10°, 2.249 Å, I = 28
(2 2 -3), 43.09°, 2.099 Å, I = 31

Structural model:
```
data_MgAgS
_symmetry_space_group_name_H-M 'C 1 c 1'
_symmetry_Int_Tables_number 9
_cell_length_a 7.652
_cell_length_b 10.712
_cell_length_c 6.883
_cell_angle_alpha 90.00
_cell_angle_beta 120.58
_cell_angle_gamma 90.00
loop_
_symmetry_equiv_pos_as_xyz
'x,y,z'
'x,-y,z+1/2'
'x+1/2,y+1/2,z'
'x+1/2,-y+1/2,z+1/2'
loop_
_atom_site_label
_atom_site_fract_x
_atom_site_fract_y
_atom_site_fract_z
_atom_site_occupancy
Mg1 0.000 0.073 0.000 1
Mg2 0.372 0.121 0.588 1
Ag1 0.177 0.450 0.588 1
Ag2 0.300 0.324 0.978 1
S1 0.188 0.260 0.268 1
S2 0.257 0.076 0.855 1
```

=====

# 8
RbAsH: theoretical powder diffractogram (a wavelength of 1.5418 Å), based on a PBE-relaxed structure.
Lines closer than 0.1° are merged.

Peak list (10 most intense, 2θ from 15° to 90°, in order of rising 2θ)
(1 -1 0), 25.70°, 3.466 Å, I = 16
(1 1 -1), 27.80°, 3.209 Å, I = 100
(0 2 -1), 29.73°, 3.005 Å, I = 22
(0 2 0), 30.58°, 2.923 Å, I = 51
(-1 1 1), 32.01°, 2.796 Å, I = 22
(1 1 1), 33.22°, 2.697 Å, I = 24
(0 2 -2), 36.26°, 2.478 Å, I = 21
(0 2 1), 38.39°, 2.345 Å, I = 15
(2 0 0), 42.95°, 2.106 Å, I = 16
(2 2 0), 54.45°, 1.685 Å, I = 16

Structural model:
```
data_RbAsH
_symmetry_space_group_name_H-M 'P 1'
_symmetry_Int_Tables_number 1
_cell_length_a 4.215
_cell_length_b 6.134
_cell_length_c 6.142
_cell_angle_alpha 107.67
_cell_angle_beta 91.32
_cell_angle_gamma 91.14
loop_
_symmetry_equiv_pos_as_xyz
'x,y,z'
loop_
_atom_site_label
_atom_site_fract_x
_atom_site_fract_y
_atom_site_fract_z
_atom_site_occupancy
Rb1 0.000 0.000 0.000 1
Rb2 0.005 0.443 0.556 1
As1 0.485 0.547 0.104 1
As2 0.520 0.896 0.453 1
H1 0.150 0.911 0.462 1
H2 0.855 0.536 0.090 1
```

=====

# 9
CaPHO4: theoretical powder diffractogram (a wavelength of 1.5418 Å), based on a PBE-relaxed structure.
Lines closer than 0.1° are merged.

Peak list (10 most intense, 2θ from 15° to 90°, in order of rising 2θ)
(1 1 -1), 16.00°, 5.540 Å, I = 32
(1 1 -2), 20.32°, 4.370 Å, I = 45
(2 1 0), 24.03°, 3.704 Å, I = 78
(1 1 -3), 27.24°, 3.274 Å, I = 28
(2 1 1), 29.19°, 3.059 Å, I = 32
(3 1 -2), 29.60°, 3.018 Å, I = 53
(1 2 -2), 30.28°, 2.952 Å, I = 100
(3 0 0), 30.62°, 2.919 Å, I = 34
(0 2 2), 31.65°, 2.827 Å, I = 89
(1 0 -4), 32.82°, 2.729 Å, I = 29

Structural model:
```
data_CaPHO4
_symmetry_space_group_name_H-M 'P 1 21/c 1'
_symmetry_Int_Tables_number 14
_cell_length_a 10.120
_cell_length_b 6.940
_cell_length_c 11.271
_cell_angle_alpha 90.00
_cell_angle_beta 120.06
_cell_angle_gamma 90.00
loop_
_symmetry_equiv_pos_as_xyz
'x,y,z'
'-x,-y,-z'
'-x,y+1/2,-z+1/2'
'x,-y+1/2,z+1/2'
loop_
_atom_site_label
_atom_site_fract_x
_atom_site_fract_y
_atom_site_fract_z
_atom_site_occupancy
Ca1 0.045 0.011 0.248 1
Ca2 0.300 0.196 0.062 1
P1 0.104 0.750 0.060 1
P2 0.330 0.510 0.298 1
H1 0.360 0.141 0.362 1
H2 0.369 0.574 0.916 1
O1 0.022 0.228 0.400 1
O2 0.045 0.721 0.907 1
O3 0.183 0.556 0.617 1
O4 0.220 0.023 0.853 1
O5 0.225 0.576 0.134 1
O6 0.321 0.052 0.409 1
O7 0.394 0.182 0.781 1
O8 0.445 0.668 0.374 1
```

=====

# 10
Hf4IrC: theoretical powder diffractogram (a wavelength of 1.5418 Å), based on a PBE-relaxed structure.
Lines closer than 0.1° are merged.

Peak list (10 most intense, 2θ from 15° to 90°, in order of rising 2θ)
(0 2 0), 21.08°, 4.214 Å, I = 17
(1 2 1), 32.34°, 2.769 Å, I = 100
(1 0 -2), 35.02°, 2.563 Å, I = 51
(1 1 2), 36.63°, 2.453 Å, I = 61
(1 3 0), 37.61°, 2.391 Å, I = 24
(2 0 0), 39.56°, 2.278 Å, I = 44
(0 4 0), 42.92°, 2.107 Å, I = 22
(0 2 3), 49.06°, 1.857 Å, I = 14
(2 4 0), 59.79°, 1.547 Å, I = 17
(1 5 2), 66.37°, 1.409 Å, I = 21

Structural model:
```
data_Hf4IrC
_symmetry_space_group_name_H-M 'P 1 21/m 1'
_symmetry_Int_Tables_number 11
_cell_length_a 4.556
_cell_length_b 8.428
_cell_length_c 6.205
_cell_angle_alpha 90.00
_cell_angle_beta 90.04
_cell_angle_gamma 90.00
loop_
_symmetry_equiv_pos_as_xyz
'x,y,z'
'-x,-y,-z'
'-x,y+1/2,-z'
'x,-y+1/2,z'
loop_
_atom_site_label
_atom_site_fract_x
_atom_site_fract_y
_atom_site_fract_z
_atom_site_occupancy
Hf1 0.250 0.043 0.193 1
Hf2 0.250 0.250 0.745 1
Hf3 0.250 0.750 0.598 1
Ir1 0.249 0.750 0.030 1
C1 0.251 0.250 0.403 1
```

=====

# 11
Sc2BrO2: theoretical powder diffractogram (a wavelength of 1.5418 Å), based on a PBE-relaxed structure.
Lines closer than 0.1° are merged.

Peak list (10 most intense, 2θ from 15° to 90°, in order of rising 2θ)
(1 0 1), 24.76°, 3.596 Å, I = 10
(1 1 0), 33.25°, 2.694 Å, I = 35
(1 0 3), 34.11°, 2.628 Å, I = 100
(1 1 2), 37.24°, 2.415 Å, I = 14
(2 0 0), 47.74°, 1.905 Å, I = 25
(2 1 3), 59.97°, 1.542 Å, I = 35
(1 1 6), 61.61°, 1.505 Å, I = 22
(2 2 0), 69.82°, 1.347 Å, I = 7
(2 0 6), 71.84°, 1.314 Å, I = 7
(3 0 3), 80.04°, 1.199 Å, I = 7

Structural model:
```
data_Sc2BrO2
_symmetry_space_group_name_H-M 'I 4/m m m'
_symmetry_Int_Tables_number 139
_symmetry_space_group_name_Hall '-I 4 2'
_cell_length_a 3.810
_cell_length_b 3.810
_cell_length_c 10.891
_cell_angle_alpha 90.00
_cell_angle_beta 90.00
_cell_angle_gamma 90.00
loop_
_atom_site_label
_atom_site_fract_x
_atom_site_fract_y
_atom_site_fract_z
_atom_site_occupancy
Sc1 0.000 0.000 0.165 1
Br1 0.000 0.000 0.500 1
O1 0.000 0.500 0.250 1
```

=====

# 12
AcIn4Pd6: theoretical powder diffractogram (a wavelength of 1.5418 Å), based on a PBE-relaxed structure.
Lines closer than 0.1° are merged.

Peak list (10 most intense, 2θ from 15° to 90°, in order of rising 2θ)
(1 1 1), 31.05°, 2.880 Å, I = 40
(2 0 1), 33.87°, 2.647 Å, I = 100
(2 1 0), 35.42°, 2.534 Å, I = 45
(2 1 1), 41.33°, 2.185 Å, I = 35
(0 0 2), 41.90°, 2.156 Å, I = 32
(3 0 1), 45.73°, 1.984 Å, I = 25
(2 2 0), 46.95°, 1.935 Å, I = 27
(3 1 1), 53.68°, 1.707 Å, I = 14
(2 1 2), 56.00°, 1.642 Å, I = 24
(2 2 2), 64.73°, 1.440 Å, I = 20

Structural model:
```
data_AcIn4Pd6
_symmetry_space_group_name_H-M 'P -6 m 2'
_symmetry_Int_Tables_number 187
_symmetry_space_group_name_Hall 'P -6 2'
_cell_length_a 7.7413
_cell_length_b 7.7413
_cell_length_c 4.3122
_cell_angle_alpha 90.00
_cell_angle_beta 90.00
_cell_angle_gamma 120.00
loop_
_atom_site_label
_atom_site_fract_x
_atom_site_fract_y
_atom_site_fract_z
_atom_site_occupancy
Ac1 0.0000 0.0000 0.0000 1
In1 0.3333 0.6667 0.0000 1
In2 0.4004 0.2002 0.5000 1
Pd1 0.2033 0.4065 0.5000 1
Pd2 0.5358 0.0717 0.0000 1
```